[1]
# Na2VCuF7
Calculated X-ray diffraction stick pattern, copper Kα. Input: the PBE+U geometry in the Materials Project.

Cell and atoms:
```
Na2VCuF7
1.0
10.515 0.000 0.000
0.000 7.300 0.000
0.000 0.000 7.638
Na V Cu F
8 4 4 28
Direct
0.000 0.000 0.000
0.000 0.500 0.000
0.239 0.250 0.277
0.261 0.750 0.777
0.500 0.000 0.500
0.500 0.500 0.500
0.739 0.250 0.223
0.761 0.750 0.723
0.238 0.250 0.774
0.262 0.750 0.274
0.738 0.250 0.726
0.762 0.750 0.226
0.000 0.000 0.500
0.000 0.500 0.500
0.500 0.000 0.000
0.500 0.500 0.000
0.010 0.250 0.415
0.119 0.050 0.721
0.119 0.450 0.721
0.147 0.548 0.335
0.147 0.952 0.335
0.153 0.250 0.007
0.170 0.750 0.046
0.330 0.250 0.546
0.347 0.750 0.507
0.353 0.048 0.835
0.353 0.452 0.835
0.381 0.550 0.221
0.381 0.950 0.221
0.490 0.750 0.915
0.510 0.250 0.085
0.619 0.050 0.779
0.619 0.450 0.779
0.647 0.548 0.165
0.647 0.952 0.165
0.653 0.250 0.493
0.670 0.750 0.454
0.830 0.250 0.954
0.847 0.750 0.993
0.853 0.048 0.665
0.853 0.452 0.665
0.881 0.550 0.279
0.881 0.950 0.279
0.990 0.750 0.585
```

Largest 10 diffraction maxima, in order of falling intensity, 2θ = 10–90°:
Position (°2θ)  I/Imax
28.9  100
29.8  90
48.9  77
14.3  71
28.4  32
57.2  32
16.8  30
28.0  25
50.0  24
58.8  23

=====

[2]
# RbNa7Co2O6
Calculated X-ray diffraction stick pattern, copper Kα. Input: the PBE+U geometry in the Materials Project.

Cell and atoms:
```
RbNa7Co2O6
1.0
5.440 -2.218 0.000
5.440 2.218 0.000
-0.254 0.000 10.811
Rb Na Co O
1 7 2 6
Direct
0.000 0.000 0.000
0.144 0.144 0.721
0.232 0.232 0.406
0.273 0.273 0.105
0.500 0.500 0.500
0.727 0.727 0.895
0.768 0.768 0.594
0.856 0.856 0.279
0.416 0.416 0.760
0.584 0.584 0.240
0.314 0.314 0.894
0.323 0.323 0.606
0.417 0.417 0.270
0.583 0.583 0.730
0.677 0.677 0.394
0.686 0.686 0.106
```

Largest 10 diffraction maxima, in order of falling intensity, 2θ = 10–90°:
Position (°2θ)  I/Imax
33.1  100
32.9  66
23.2  63
40.7  62
37.5  49
27.1  46
27.4  41
18.1  36
36.6  36
55.9  27